Starting from a structure optimized by DFT (GGA-PBE), the powder diffraction line list of CsPmPaS4 was computed for Cu Kα (λ = 1.5418 Å).
Lines closer than 0.1° are merged.

```
data_CsPmPaS4
_chemical_formula_sum 'Cs4 Pm4 Pa4 S16'
_symmetry_space_group_name_H-M 'I m m a'
_symmetry_Int_Tables_number 74
_symmetry_space_group_name_Hall '-I 2b 2'
_cell_length_a 8.5452
_cell_length_b 8.8810
_cell_length_c 12.2372
_cell_angle_alpha 90.00
_cell_angle_beta 90.00
_cell_angle_gamma 90.00
loop_
_atom_site_label
_atom_site_type_symbol
_atom_site_fract_x
_atom_site_fract_y
_atom_site_fract_z
_atom_site_occupancy
Cs1 Cs 0.0000 0.2500 0.1322 1
Pm1 Pm 0.0000 0.0000 0.5000 1
Pa1 Pa 0.2500 0.2500 0.7500 1
S1 S 0.0000 0.0552 0.7316 1
S2 S 0.2090 0.2500 0.5292 1
```

Most intense lines, 15° ≤ 2θ ≤ 90°, sorted by position:
index, two_theta, I/Imax
1 1 2, 20.46, 25
1 2 1, 23.72, 43
0 1 3, 24.01, 34
2 1 1, 24.22, 100
0 2 2, 24.77, 27
2 2 0, 29.00, 32
2 3 1, 37.69, 38
0 1 5, 38.14, 20
3 2 1, 38.25, 28
2 2 4, 41.62, 66



Starting from a structure optimized by DFT (GGA-PBE), the powder diffraction line list of Cs4Pm3PaSe8 was computed for Cu Kα (λ = 1.5418 Å).
Lines closer than 0.1° are merged.

```
data_Cs4Pm3PaSe8
_chemical_formula_sum 'Cs12 Pm9 Pa3 Se24'
_symmetry_space_group_name_H-M 'R -3 m'
_symmetry_Int_Tables_number 166
_symmetry_space_group_name_Hall '-R 3 2"'
_cell_length_a 8.6929
_cell_length_b 8.6929
_cell_length_c 25.2488
_cell_angle_alpha 90.00
_cell_angle_beta 90.00
_cell_angle_gamma 120.00
loop_
_atom_site_label
_atom_site_type_symbol
_atom_site_fract_x
_atom_site_fract_y
_atom_site_fract_z
_atom_site_occupancy
Cs1 Cs 0.0000 0.0000 0.0000 1
Cs2 Cs 0.0000 0.5000 0.0000 1
Pm1 Pm 0.0000 0.5000 0.5000 1
Pa1 Pa 0.0000 0.0000 0.5000 1
Se1 Se 0.0000 0.0000 0.2303 1
Se2 Se 0.0069 0.5034 0.2298 1
```

Most intense lines, 15° ≤ 2θ ≤ 90°, sorted by position:
index, two_theta, I/Imax
0 0 6, 21.11, 11
2 0 2, 24.68, 14
0 2 4, 27.59, 100
2 0 8, 37.18, 34
2 2 0, 41.55, 36
0 2 10, 43.14, 10
4 0 4, 50.61, 18
0 4 8, 56.97, 10
2 2 12, 61.33, 10
2 4 4, 67.48, 16



Starting from a structure optimized by DFT (GGA-PBE), the powder diffraction line list of CsPrPaSe4 was computed for Cu Kα (λ = 1.5418 Å).
Lines closer than 0.1° are merged.

```
data_CsPrPaSe4
_chemical_formula_sum 'Cs4 Pr4 Pa4 Se16'
_symmetry_space_group_name_H-M 'I m m a'
_symmetry_Int_Tables_number 74
_symmetry_space_group_name_Hall '-I 2b 2'
_cell_length_a 8.9991
_cell_length_b 9.4882
_cell_length_c 12.5395
_cell_angle_alpha 90.00
_cell_angle_beta 90.00
_cell_angle_gamma 90.00
loop_
_atom_site_label
_atom_site_type_symbol
_atom_site_fract_x
_atom_site_fract_y
_atom_site_fract_z
_atom_site_occupancy
Cs1 Cs 0.0000 0.2500 0.1375 1
Pr1 Pr 0.0000 0.0000 0.5000 1
Pa1 Pa 0.2500 0.2500 0.7500 1
Se1 Se 0.0000 0.0579 0.7382 1
Se2 Se 0.2090 0.2500 0.5237 1
```

Most intense lines, 15° ≤ 2θ ≤ 90°, sorted by position:
index, two_theta, I/Imax
1 2 1, 22.34, 33
2 1 1, 23.00, 65
0 1 3, 23.25, 30
1 0 3, 23.48, 29
2 2 0, 27.32, 64
0 0 4, 28.47, 33
2 3 1, 35.42, 62
3 2 1, 36.14, 30
0 1 5, 37.08, 30
2 2 4, 39.87, 100



Starting from a structure optimized by DFT (GGA-PBE), the powder diffraction line list of Cs3Pr3PaTe8 was computed for Cu Kα (λ = 1.5418 Å).
Lines closer than 0.1° are merged.

```
data_Cs3Pr3PaTe8
_chemical_formula_sum 'Cs6 Pr6 Pa2 Te16'
_symmetry_space_group_name_H-M 'C 1 2/m 1'
_symmetry_Int_Tables_number 12
_cell_length_a 16.0305
_cell_length_b 9.2551
_cell_length_c 10.5821
_cell_angle_alpha 90.00
_cell_angle_beta 120.38
_cell_angle_gamma 90.00
loop_
_symmetry_equiv_pos_as_xyz
'x,y,z'
'-x,-y,-z'
'-x,y,-z'
'x,-y,z'
'x+1/2,y+1/2,z'
'-x+1/2,-y+1/2,-z'
'-x+1/2,y+1/2,-z'
'x+1/2,-y+1/2,z'
loop_
_atom_site_label
_atom_site_type_symbol
_atom_site_fract_x
_atom_site_fract_y
_atom_site_fract_z
_atom_site_occupancy
Cs1 Cs 0.0000 0.0000 0.0000 1
Cs2 Cs 0.2500 0.2500 0.0000 1
Pr1 Pr 0.0000 0.5000 0.5000 1
Pr2 Pr 0.2500 0.2500 0.5000 1
Pa1 Pa 0.0000 0.0000 0.5000 1
Te1 Te 0.0173 0.2425 0.3096 1
Te2 Te 0.2252 0.0000 0.6904 1
Te3 Te 0.2322 0.5000 0.6964 1
```

Most intense lines, 15° ≤ 2θ ≤ 90°, sorted by position:
index, two_theta, I/Imax
4 0 0, 25.76, 100
2 2 -3, 31.97, 16
2 2 2, 34.45, 33
0 4 0, 38.92, 37
2 2 3, 42.76, 11
4 4 0, 47.26, 19
8 0 0, 52.95, 10
6 2 2, 56.65, 8
10 2 -2, 62.83, 16
8 4 0, 67.63, 9